# LaW2O8
Calculated X-ray diffraction stick pattern, Cu Ka. Input: a structure optimized by DFT (PBE+U).

Cell and atoms:
```
LaW2O8
1.0
-2.431 2.431 5.888
2.431 -2.431 5.888
2.431 2.431 -5.888
La W O
1 2 8
Direct
0.000 0.000 0.000 La
0.250 0.750 0.500 W
0.750 0.250 0.500 W
0.099 0.099 0.500 O
0.099 0.599 0.000 O
0.401 0.401 0.500 O
0.401 0.901 0.000 O
0.599 0.099 0.000 O
0.599 0.599 0.500 O
0.901 0.401 0.000 O
0.901 0.901 0.500 O
```

The 8 most intense peaks (5° ≤ 2θ ≤ 70°), low angle first:
2θ/deg, I/Imax
15.05, 38.4
19.75, 21.5
30.10, 100.0
36.98, 15.7
48.57, 37.9
53.29, 15.3
53.78, 19.9
62.42, 25.4